No. 1
# KSmGeSe4
Simulated XRD peak list, Cu Ka. Input: a structure optimized by DFT (GGA-PBE).
Kinematic intensities with the Lorentz-polarization factor, no thermal factor.

Cell and atoms:
Cell: 6.8976 7.0885 9.1596 Å, 90.00 107.71 90.00°
Fractional positions:
K (0.2453, 0.0000, 0.4378)
K (0.7547, 0.5000, 0.5622)
Sm (0.2713, 0.9955, 0.9486)
Sm (0.7287, 0.4955, 0.0514)
Ge (0.2767, 0.5299, 0.1738)
Ge (0.7233, 0.0299, 0.8262)
Se (0.0658, 0.6008, 0.9216)
Se (0.0739, 0.5336, 0.3389)
Se (0.4666, 0.2693, 0.7754)
Se (0.4860, 0.2547, 0.2068)
Se (0.5140, 0.7547, 0.7932)
Se (0.5334, 0.7693, 0.2246)
Se (0.9261, 0.0336, 0.6611)
Se (0.9342, 0.1008, 0.0784)

Main lines, sorted by position (10 to 80 degrees two-theta):
| Position (°2θ) | Rel. int. |
| --- | --- |
| 10.1 | 100.0 |
| 16.1 | 29.4 |
| 25.1 | 16.6 |
| 27.8 | 17.3 |
| 28.6 | 53.5 |
| 30.6 | 41.3 |
| 31.3 | 33.4 |
| 32.5 | 17.9 |
| 32.8 | 22.3 |
| 37.3 | 26.6 |
| 39.4 | 17.6 |
| 41.1 | 15.2 |

No. 2
# K3Tb3GeSe8
Simulated XRD peak list, Cu Ka. Input: a structure optimized by DFT (GGA-PBE).
Kinematic intensities with the Lorentz-polarization factor, no thermal factor.

Cell and atoms:
Cell: 9.2005 9.2005 9.2005 Å, 53.26 53.26 53.26°
Fractional positions:
K (0.0000, 0.5000, 0.5000)
K (0.5000, 0.0000, 0.5000)
K (0.5000, 0.5000, 0.0000)
Tb (0.0000, 0.0000, 0.5000)
Tb (0.0000, 0.5000, 0.0000)
Tb (0.5000, 0.0000, 0.0000)
Ge (0.5000, 0.5000, 0.5000)
Se (0.2352, 0.2352, 0.2352)
Se (0.2558, 0.7186, 0.7186)
Se (0.2814, 0.2814, 0.7442)
Se (0.2814, 0.7442, 0.2814)
Se (0.7186, 0.2558, 0.7186)
Se (0.7186, 0.7186, 0.2558)
Se (0.7442, 0.2814, 0.2814)
Se (0.7648, 0.7648, 0.7648)

Main lines, sorted by position (10 to 80 degrees two-theta):
| Position (°2θ) | Rel. int. |
| --- | --- |
| 11.2 | 79.1 |
| 25.2 | 11.5 |
| 29.2 | 100.0 |
| 36.6 | 28.5 |
| 39.6 | 32.9 |
| 43.9 | 34.1 |
| 45.5 | 15.4 |
| 49.5 | 15.5 |
| 53.6 | 16.8 |
| 60.6 | 9.2 |
| 71.7 | 13.3 |
| 77.8 | 9.5 |

No. 3
# KTbGeSe3
Simulated XRD peak list, Cu Ka. Input: a structure optimized by DFT (GGA-PBE).
Kinematic intensities with the Lorentz-polarization factor, no thermal factor.

Cell and atoms:
Cell: 8.6450 4.0656 11.0874 Å, 90.00 108.34 90.00°
Fractional positions:
K (0.2353, 0.2500, 0.2774)
K (0.7647, 0.7500, 0.7226)
Tb (0.3601, 0.7500, 0.8442)
Tb (0.6399, 0.2500, 0.1558)
Ge (0.1281, 0.2500, 0.5597)
Ge (0.8719, 0.7500, 0.4403)
Se (0.1050, 0.2500, 0.7777)
Se (0.3319, 0.7500, 0.5752)
Se (0.3960, 0.7500, 0.1093)
Se (0.6040, 0.2500, 0.8907)
Se (0.6681, 0.2500, 0.4248)
Se (0.8950, 0.7500, 0.2223)

Main lines, sorted by position (10 to 80 degrees two-theta):
| Position (°2θ) | Rel. int. |
| --- | --- |
| 10.8 | 14.0 |
| 11.4 | 100.0 |
| 25.4 | 18.8 |
| 27.0 | 26.3 |
| 31.0 | 73.4 |
| 32.3 | 35.4 |
| 35.6 | 15.4 |
| 38.3 | 17.6 |
| 44.6 | 16.4 |
| 45.2 | 24.5 |
| 45.5 | 20.9 |
| 56.1 | 14.3 |

No. 4
# K2VGeSe4
Simulated XRD peak list, Cu Ka. Input: a structure optimized by DFT (GGA-PBE).
Kinematic intensities with the Lorentz-polarization factor, no thermal factor.

Cell and atoms:
Cell: 13.2104 11.8144 7.6308 Å, 82.58 62.48 34.95°
Fractional positions:
K (0.0567, 0.0567, 0.6933)
K (0.3067, 0.3067, 0.9433)
K (0.6933, 0.6933, 0.0567)
K (0.9433, 0.9433, 0.3067)
V (0.1250, 0.1250, 0.1250)
V (0.8750, 0.8750, 0.8750)
Ge (0.3750, 0.3750, 0.3750)
Ge (0.6250, 0.6250, 0.6250)
Se (0.0555, 0.3052, 0.3872)
Se (0.2479, 0.6128, 0.6948)
Se (0.3052, 0.0555, 0.7521)
Se (0.3872, 0.7521, 0.0555)
Se (0.6128, 0.2479, 0.9445)
Se (0.6948, 0.9445, 0.2479)
Se (0.7521, 0.3872, 0.3052)
Se (0.9445, 0.6948, 0.6128)

Main lines, sorted by position (10 to 80 degrees two-theta):
| Position (°2θ) | Rel. int. |
| --- | --- |
| 15.2 | 66.7 |
| 15.7 | 36.7 |
| 24.5 | 16.2 |
| 26.3 | 100.0 |
| 27.3 | 16.1 |
| 30.8 | 57.0 |
| 35.5 | 37.5 |
| 38.1 | 31.6 |
| 46.6 | 17.3 |
| 48.1 | 29.0 |
| 48.3 | 25.3 |
| 57.5 | 20.5 |

No. 5
# K3SnGe
Simulated XRD peak list, Cu Ka. Input: a structure optimized by DFT (GGA-PBE).
Kinematic intensities with the Lorentz-polarization factor, no thermal factor.

Cell and atoms:
Cell: 10.9376 7.1739 12.7733 Å, 90.00 107.49 90.00°
Fractional positions:
K (0.0912, 0.2280, 0.1138)
K (0.0912, 0.7720, 0.6138)
K (0.2867, 0.3595, 0.8241)
K (0.2867, 0.6405, 0.3241)
K (0.3604, 0.1615, 0.5355)
K (0.3604, 0.8385, 0.0355)
K (0.6396, 0.1615, 0.9645)
K (0.6396, 0.8385, 0.4645)
K (0.7133, 0.3595, 0.6759)
K (0.7133, 0.6405, 0.1759)
K (0.9088, 0.2280, 0.3862)
K (0.9088, 0.7720, 0.8862)
Sn (0.4220, 0.3530, 0.1313)
Sn (0.4220, 0.6470, 0.6313)
Sn (0.5780, 0.3530, 0.3687)
Sn (0.5780, 0.6470, 0.8687)
Ge (0.3932, 0.0813, 0.2775)
Ge (0.3932, 0.9187, 0.7775)
Ge (0.6068, 0.0813, 0.2225)
Ge (0.6068, 0.9187, 0.7225)

Main lines, sorted by position (10 to 80 degrees two-theta):
| Position (°2θ) | Rel. int. |
| --- | --- |
| 14.3 | 100.0 |
| 14.5 | 65.9 |
| 15.5 | 66.2 |
| 24.4 | 33.7 |
| 25.4 | 35.4 |
| 26.6 | 34.2 |
| 29.9 | 66.1 |
| 31.9 | 29.8 |
| 33.3 | 54.3 |
| 35.1 | 36.3 |
| 35.4 | 47.8 |
| 36.1 | 47.9 |

No. 6
# KTcGe
Simulated XRD peak list, Cu Ka. Input: a structure optimized by DFT (GGA-PBE).
Kinematic intensities with the Lorentz-polarization factor, no thermal factor.

Cell and atoms:
Cell: 4.2164 4.2185 12.2283 Å, 80.73 80.36 60.04°
Fractional positions:
K (0.0000, 0.0000, 0.0000)
K (0.4580, 0.4754, 0.6376)
Tc (0.2081, 0.2169, 0.3873)
Tc (0.5631, 0.5692, 0.3232)
Ge (0.2699, 0.2792, 0.1874)
Ge (0.8573, 0.8678, 0.4393)

Main lines, sorted by position (10 to 80 degrees two-theta):
| Position (°2θ) | Rel. int. |
| --- | --- |
| 14.8 | 43.1 |
| 22.2 | 21.2 |
| 24.5 | 17.3 |
| 26.4 | 16.0 |
| 27.3 | 21.0 |
| 29.8 | 24.3 |
| 36.7 | 16.6 |
| 36.8 | 17.6 |
| 37.1 | 17.4 |
| 42.9 | 100.0 |
| 43.5 | 34.2 |
| 43.6 | 28.8 |